[1]
This entry pairs a crystal structure of Pa3Zn9Pd2 with its calculated powder diffractogram. Radiation: Cu Kα (weighted mean of Kα1 and Kα2). Structure: a structure optimized by DFT (PBE).
Neutral-atom scattering factors, no anomalous dispersion.

Structure:
```
Pa3Zn9Pd2
1.0
-2.209 4.512 6.234
2.209 -4.512 6.234
2.209 4.512 -6.234
Pa Zn Pd
3 9 2
Cartesian
0.000 0.000 0.000 Pa
0.000 0.000 3.655 Pa
0.000 0.000 8.814 Pa
2.209 -1.251 1.946 Zn
2.209 -1.968 4.521 Zn
2.209 1.251 1.946 Zn
0.000 2.543 1.713 Zn
0.000 4.512 0.000 Zn
2.209 1.968 4.521 Zn
0.000 3.261 4.288 Zn
0.000 6.480 1.713 Zn
0.000 5.763 4.288 Zn
2.209 2.974 0.000 Pd
0.000 1.538 6.234 Pd
```

The 8 most intense peaks (2θ = 10–90°), most intense first:
35.7°, I 100; 40.8°, I 48; 36.7°, I 47; 22.4°, I 41; 36.1°, I 37; 36.9°, I 35; 39.0°, I 30; 35.0°, I 29


[2]
This entry pairs a crystal structure of PaZn5Pd6 with its calculated powder diffractogram. Radiation: Cu Kα (weighted mean of Kα1 and Kα2). Structure: a structure optimized by DFT (PBE).
Neutral-atom scattering factors, no anomalous dispersion.

Structure:
```
PaZn5Pd6
1.0
2.074 -6.183 0.000
2.074 6.183 0.000
0.000 0.000 7.402
Pa Zn Pd
1 5 6
Cartesian
0.000 0.000 0.000 Pa
0.000 0.000 3.701 Zn
2.074 2.269 0.000 Zn
2.074 2.008 3.701 Zn
2.074 -2.008 3.701 Zn
2.074 -2.269 0.000 Zn
2.074 4.101 1.942 Pd
2.074 4.101 5.461 Pd
2.074 0.000 1.929 Pd
2.074 0.000 5.473 Pd
2.074 -4.101 1.942 Pd
2.074 -4.101 5.461 Pd
```

The 8 most intense peaks (2θ = 10–90°), most intense first:
39.3°, I 100; 43.6°, I 19; 43.9°, I 18; 77.2°, I 13; 49.2°, I 13; 77.6°, I 12; 63.7°, I 11; 84.4°, I 10


[3]
This entry pairs a crystal structure of PaZnPd5 with its calculated powder diffractogram. Radiation: Cu Kα (weighted mean of Kα1 and Kα2). Structure: a structure optimized by DFT (PBE).
Neutral-atom scattering factors, no anomalous dispersion.

Structure:
```
PaZnPd5
1.0
5.272 0.000 0.000
0.000 9.070 0.000
0.000 0.000 7.209
Pa Zn Pd
2 2 10
Cartesian
0.000 0.000 0.000 Pa
2.636 4.535 3.604 Pa
0.000 4.535 0.971 Zn
2.636 0.000 4.575 Zn
0.000 0.000 4.579 Pd
0.000 2.226 6.138 Pd
0.000 6.844 6.138 Pd
1.320 0.000 2.197 Pd
1.316 4.535 5.802 Pd
2.636 2.309 2.534 Pd
2.636 4.535 0.975 Pd
2.636 6.762 2.534 Pd
3.952 0.000 2.197 Pd
3.956 4.535 5.802 Pd
```

The 8 most intense peaks (2θ = 10–90°), most intense first:
19.5°, I 100; 20.9°, I 84; 47.2°, I 60; 38.8°, I 41; 37.7°, I 38; 39.8°, I 37; 31.7°, I 33; 46.1°, I 30


[4]
This entry pairs a crystal structure of Pa2ZnPd2 with its calculated powder diffractogram. Radiation: Cu Kα (weighted mean of Kα1 and Kα2). Structure: a structure optimized by DFT (PBE).
Neutral-atom scattering factors, no anomalous dispersion.

Structure:
```
Pa2ZnPd2
1.0
2.263 -7.661 0.000
2.263 7.661 0.000
0.000 0.000 5.762
Pa Zn Pd
4 2 4
Cartesian
2.263 7.279 2.881 Pa
2.263 4.370 2.912 Pa
2.263 -4.370 0.031 Pa
2.263 -7.279 0.000 Pa
2.263 1.472 1.618 Zn
2.263 -1.472 4.499 Zn
2.263 5.164 5.693 Pd
2.263 1.571 4.391 Pd
2.263 -1.571 1.510 Pd
2.263 -5.164 2.812 Pd
```

The 8 most intense peaks (2θ = 10–90°), most intense first:
37.5°, I 100; 35.4°, I 90; 38.8°, I 54; 39.8°, I 52; 38.6°, I 37; 25.7°, I 34; 20.5°, I 34; 39.1°, I 33


[5]
This entry pairs a crystal structure of Pm3Pa with its calculated powder diffractogram. Radiation: Cu Kα (weighted mean of Kα1 and Kα2). Structure: a structure optimized by DFT (PBE).
Neutral-atom scattering factors, no anomalous dispersion.

Structure:
```
Pm3Pa
1.0
4.963 0.000 0.000
0.000 4.963 0.000
0.000 0.000 10.243
Pm Pa
6 2
Cartesian
0.000 0.000 0.000 Pm
0.000 2.481 2.561 Pm
0.000 2.481 7.682 Pm
2.481 0.000 2.561 Pm
2.481 0.000 7.682 Pm
2.481 2.481 5.121 Pm
0.000 0.000 5.121 Pa
2.481 2.481 0.000 Pa
```

The 8 most intense peaks (2θ = 10–90°), most intense first:
30.9°, I 100; 36.2°, I 33; 61.8°, I 28; 51.3°, I 25; 35.0°, I 18; 60.3°, I 15; 64.4°, I 12; 83.7°, I 12


[6]
This entry pairs a crystal structure of Pm3Pa with its calculated powder diffractogram. Radiation: Cu Kα (weighted mean of Kα1 and Kα2). Structure: a structure optimized by DFT (PBE).
Neutral-atom scattering factors, no anomalous dispersion.

Structure:
```
Pm3Pa
1.0
5.012 0.000 0.000
0.000 5.012 0.000
0.000 0.000 5.012
Pm Pa
3 1
Cartesian
0.000 0.000 2.506 Pm
0.000 2.506 0.000 Pm
2.506 0.000 0.000 Pm
2.506 2.506 2.506 Pa
```

The 8 most intense peaks (2θ = 10–90°), most intense first:
30.9°, I 100; 35.8°, I 51; 61.3°, I 43; 51.6°, I 36; 84.2°, I 18; 86.9°, I 17; 64.4°, I 12; 75.9°, I 6


[7]
This entry pairs a crystal structure of PmPaPt6 with its calculated powder diffractogram. Radiation: Cu Kα (weighted mean of Kα1 and Kα2). Structure: a structure optimized by DFT (PBE).
Neutral-atom scattering factors, no anomalous dispersion.

Structure:
```
PmPaPt6
1.0
4.182 0.000 0.000
0.000 4.182 0.000
0.000 0.000 8.327
Pm Pa Pt
1 1 6
Cartesian
0.000 0.000 0.000 Pm
0.000 0.000 4.164 Pa
0.000 2.091 2.149 Pt
0.000 2.091 6.178 Pt
2.091 0.000 2.149 Pt
2.091 0.000 6.178 Pt
2.091 2.091 0.000 Pt
2.091 2.091 4.164 Pt
```

The 8 most intense peaks (2θ = 10–90°), most intense first:
37.3°, I 100; 43.3°, I 33; 75.4°, I 26; 63.0°, I 22; 43.5°, I 16; 75.7°, I 13; 79.5°, I 11; 62.9°, I 11


[8]
This entry pairs a crystal structure of Pm2PaPt3 with its calculated powder diffractogram. Radiation: Cu Kα (weighted mean of Kα1 and Kα2). Structure: a structure optimized by DFT (PBE).
Neutral-atom scattering factors, no anomalous dispersion.

Structure:
```
Pm2PaPt3
1.0
0.000 5.854 12.359
4.160 0.000 12.359
4.160 5.854 0.000
Pm Pa Pt
8 4 12
Cartesian
1.040 1.464 1.052 Pm
3.120 4.391 3.086 Pm
1.040 1.464 5.128 Pm
5.200 7.318 9.266 Pm
3.120 4.391 15.452 Pm
7.280 10.245 19.590 Pm
5.200 7.318 21.631 Pm
7.280 10.245 23.666 Pm
3.120 4.391 7.198 Pa
3.120 4.391 11.340 Pa
5.200 7.318 13.377 Pa
5.200 7.318 17.520 Pa
3.179 1.558 7.128 Pt
5.050 4.391 9.269 Pt
3.062 1.558 11.411 Pt
5.142 4.485 13.307 Pt
7.130 7.318 15.449 Pt
5.259 4.485 17.590 Pt
3.062 7.223 7.128 Pt
1.190 4.391 9.269 Pt
3.179 7.223 11.411 Pt
5.259 10.150 13.307 Pt
3.270 7.318 15.449 Pt
5.142 10.150 17.590 Pt
```

The 8 most intense peaks (2θ = 10–90°), most intense first:
30.5°, I 100; 43.7°, I 50; 72.2°, I 22; 54.5°, I 14; 54.1°, I 13; 44.0°, I 13; 43.5°, I 12; 63.6°, I 12


[9]
This entry pairs a crystal structure of PmPuPa2S4 with its calculated powder diffractogram. Radiation: Cu Kα (weighted mean of Kα1 and Kα2). Structure: a structure optimized by DFT (PBE).
Neutral-atom scattering factors, no anomalous dispersion.

Structure:
```
PmPuPa2S4
1.0
6.743 0.000 0.000
0.000 3.900 0.000
-2.256 0.000 6.566
Pm Pu Pa S
1 1 2 4
Cartesian
0.000 0.000 0.000 Pm
3.371 1.950 0.000 Pu
-1.128 1.950 3.283 Pa
2.243 0.000 3.283 Pa
0.018 0.000 4.918 S
1.144 1.950 1.668 S
3.342 1.950 4.898 S
4.468 0.000 1.648 S
```

The 8 most intense peaks (2θ = 10–90°), most intense first:
32.2°, I 100; 28.0°, I 74; 45.6°, I 38; 46.6°, I 36; 27.2°, I 26; 54.8°, I 25; 77.3°, I 16; 53.9°, I 13


[10]
This entry pairs a crystal structure of PmPuPa2Sb4 with its calculated powder diffractogram. Radiation: Cu Kα (weighted mean of Kα1 and Kα2). Structure: a structure optimized by DFT (PBE).
Neutral-atom scattering factors, no anomalous dispersion.

Structure:
```
PmPuPa2Sb4
1.0
6.237 0.000 0.000
0.000 6.237 0.000
0.000 0.000 12.488
Pm Pu Pa Sb
2 2 4 8
Cartesian
0.000 0.000 0.000 Pm
3.119 3.119 6.244 Pm
0.000 3.119 9.366 Pu
3.119 0.000 3.122 Pu
0.000 0.000 6.244 Pa
0.000 3.119 3.122 Pa
3.119 0.000 9.366 Pa
3.119 3.119 0.000 Pa
0.000 0.000 3.164 Sb
0.000 0.000 9.325 Sb
0.000 3.119 0.021 Sb
0.000 3.119 6.223 Sb
3.119 0.000 6.265 Sb
3.119 0.000 12.467 Sb
3.119 3.119 3.080 Sb
3.119 3.119 9.408 Sb
```

The 8 most intense peaks (2θ = 10–90°), most intense first:
28.6°, I 100; 40.9°, I 77; 67.1°, I 36; 50.7°, I 28; 74.5°, I 27; 59.2°, I 13; 24.7°, I 13; 88.7°, I 9


[11]
This entry pairs a crystal structure of Pm2PuPaSb4 with its calculated powder diffractogram. Radiation: Cu Kα (weighted mean of Kα1 and Kα2). Structure: a structure optimized by DFT (PBE).
Neutral-atom scattering factors, no anomalous dispersion.

Structure:
```
Pm2PuPaSb4
1.0
7.680 0.000 0.000
0.000 4.442 0.000
-2.562 0.000 7.274
Pm Pu Pa Sb
2 1 1 4
Cartesian
0.000 0.000 0.000 Pm
3.840 2.221 0.000 Pm
-1.281 2.221 3.637 Pu
2.559 0.000 3.637 Pa
0.023 0.000 5.405 Sb
1.301 2.221 1.872 Sb
3.817 2.221 5.402 Sb
5.095 0.000 1.869 Sb
```

The 8 most intense peaks (2θ = 10–90°), most intense first:
28.4°, I 100; 40.6°, I 51; 40.7°, I 26; 50.3°, I 21; 66.5°, I 18; 73.9°, I 13; 58.8°, I 13; 66.6°, I 12


[12]
This entry pairs a crystal structure of Rb4PmPa3S12 with its calculated powder diffractogram. Radiation: Cu Kα (weighted mean of Kα1 and Kα2). Structure: a structure optimized by DFT (PBE).
Neutral-atom scattering factors, no anomalous dispersion.

Structure:
```
Rb4PmPa3S12
1.0
-5.334 5.334 5.334
5.334 -5.334 5.334
5.334 5.334 -5.334
Rb Pm Pa S
4 1 3 12
Cartesian
2.667 2.667 -2.667 Rb
2.667 -2.667 2.667 Rb
-2.667 2.667 2.667 Rb
2.667 2.667 2.667 Rb
0.000 0.000 0.000 Pm
5.334 0.000 0.000 Pa
0.000 5.334 0.000 Pa
0.000 0.000 5.334 Pa
2.769 0.000 0.000 S
7.898 0.000 0.000 S
5.334 2.667 0.000 S
5.334 0.000 2.667 S
0.000 2.769 0.000 S
0.000 0.000 2.769 S
2.667 5.334 0.000 S
2.667 0.000 5.334 S
0.000 7.898 0.000 S
0.000 0.000 7.898 S
0.000 5.334 2.667 S
0.000 2.667 5.334 S
```

The 8 most intense peaks (2θ = 10–90°), most intense first:
23.6°, I 100; 33.6°, I 47; 41.5°, I 47; 16.6°, I 40; 48.3°, I 33; 65.5°, I 25; 54.4°, I 22; 37.7°, I 21


[13]
This entry pairs a crystal structure of Rb3Pm3PaTe8 with its calculated powder diffractogram. Radiation: Cu Kα (weighted mean of Kα1 and Kα2). Structure: a structure optimized by DFT (PBE).
Neutral-atom scattering factors, no anomalous dispersion.

Structure:
```
Rb3Pm3PaTe8
1.0
4.564 2.635 8.727
-4.564 2.635 8.727
0.000 -5.270 8.727
Rb Pm Pa Te
3 3 1 8
Cartesian
-2.282 -1.317 8.727 Rb
-2.282 1.317 17.454 Rb
0.000 2.635 8.727 Rb
-4.564 0.000 13.090 Pm
-2.282 1.317 4.363 Pm
2.282 1.317 4.363 Pm
0.000 0.000 13.090 Pa
0.000 0.000 6.141 Te
-2.243 -1.295 14.827 Te
0.000 -2.590 11.353 Te
-2.243 1.295 11.353 Te
2.243 -1.295 14.827 Te
0.000 2.590 14.827 Te
2.243 1.295 11.353 Te
0.000 0.000 20.040 Te
```

The 8 most intense peaks (2θ = 10–90°), most intense first:
26.3°, I 100; 10.1°, I 43; 39.5°, I 37; 35.6°, I 35; 48.1°, I 19; 33.0°, I 19; 63.9°, I 18; 54.2°, I 13


[14]
This entry pairs a crystal structure of PmPaZnRe with its calculated powder diffractogram. Radiation: Cu Kα (weighted mean of Kα1 and Kα2). Structure: a structure optimized by DFT (PBE).
Neutral-atom scattering factors, no anomalous dispersion.

Structure:
```
PmPaZnRe
1.0
7.059 0.000 0.000
0.000 7.059 0.000
0.000 0.000 7.059
Pm Pa Zn Re
4 4 4 4
Cartesian
0.000 0.000 0.000 Pm
0.000 3.530 3.530 Pm
3.530 0.000 3.530 Pm
3.530 3.530 0.000 Pm
0.000 0.000 3.530 Pa
0.000 3.530 0.000 Pa
3.530 0.000 0.000 Pa
3.530 3.530 3.530 Pa
1.765 1.765 1.765 Zn
1.765 5.295 5.295 Zn
5.295 1.765 5.295 Zn
5.295 5.295 1.765 Zn
1.765 1.765 5.295 Re
1.765 5.295 1.765 Re
5.295 1.765 1.765 Re
5.295 5.295 5.295 Re
```

The 8 most intense peaks (2θ = 10–90°), most intense first:
36.0°, I 100; 64.7°, I 37; 51.8°, I 18; 87.4°, I 17; 76.3°, I 11; 21.8°, I 11; 42.5°, I 6; 25.2°, I 4